Diffraction record for Ga2Sn7. The X-ray diffraction stick pattern is simulated, not measured: it uses a crystal structure in Alexandria, relaxed with GGA-PBE and Cu Kα, 1.54184 Å.
Kinematic intensities with the Lorentz-polarization factor, no thermal factor.

Principal peaks in the range 10 to 80 degrees two-theta, by angle:
2θ/deg  d [Å]  I (rel.)
21.13  4.204  1.6
30.04  2.975  100.0
40.13  2.247  43.8
45.71  1.985  30.3
45.85  1.979  9.7
55.67  1.651  18.7
62.43  1.488  11.9
66.75  1.401  19.1
68.90  1.363  9.4
74.79  1.269  14.6

Structure:
Lattice parameters (Å, degrees): 6.8757 6.8757 5.9372 90.00 90.00 120.00
Positions (direct):
Ga 0.3333 0.6667 0.0000
Ga 0.6667 0.3333 0.0000
Sn 0.0000 0.0000 0.0000
Sn 0.0000 0.3453 0.6808
Sn 0.0000 0.6547 0.3192
Sn 0.3453 0.0000 0.6808
Sn 0.3453 0.3453 0.3192
Sn 0.6547 0.0000 0.3192
Sn 0.6547 0.6547 0.6808